Structure and calculated powder XRD pattern of Ba2MnNbO6 (a structure optimized by DFT (PBE+U); Cu Kα, 1.54184 Å).

```
Ba2MnNbO6
1.0
11.762 0.000 0.000
0.000 8.080 0.000
0.000 0.000 5.901
Ba Mn Nb O
8 4 4 24
Cartesian
1.474 8.077 1.410 Ba
1.474 4.043 1.410 Ba
4.407 0.003 4.361 Ba
4.407 4.037 4.361 Ba
7.355 8.077 1.540 Ba
7.355 4.043 1.540 Ba
10.288 0.003 4.491 Ba
10.288 4.037 4.491 Ba
1.481 2.020 4.362 Mn
4.400 6.060 1.411 Mn
7.362 2.020 4.489 Mn
10.280 6.060 1.539 Mn
1.469 6.060 4.344 Nb
4.412 2.020 1.394 Nb
7.350 6.060 4.507 Nb
10.292 2.020 1.557 Nb
0.015 6.060 2.843 O
0.080 6.060 5.714 O
1.478 0.019 4.316 O
1.478 4.021 4.316 O
2.905 6.060 5.663 O
2.938 2.020 5.740 O
2.943 6.060 2.790 O
2.976 2.020 2.713 O
4.403 4.059 1.366 O
4.403 8.061 1.366 O
5.801 2.020 2.764 O
5.866 2.020 5.794 O
5.896 6.060 0.107 O
5.961 6.060 3.137 O
7.359 0.019 4.535 O
7.359 4.021 4.535 O
8.785 6.060 3.188 O
8.819 2.020 3.111 O
8.824 6.060 0.161 O
8.857 2.020 0.238 O
10.284 4.059 1.585 O
10.284 8.061 1.585 O
11.681 2.020 0.186 O
11.747 2.020 3.058 O
```

The 10 most intense peaks (15 to 90 degrees two-theta), low angle first:
(0 0 2), 2θ 30.3, I 26
(4 0 0), 2θ 30.4, I 26
(2 2 1), 2θ 30.8, I 100
(4 2 0), 2θ 37.8, I 17
(4 0 2), 2θ 43.4, I 33
(0 4 0), 2θ 44.9, I 15
(2 2 3), 2θ 54.2, I 19
(6 2 1), 2θ 54.3, I 20
(4 4 0), 2θ 55.1, I 19
(4 4 2), 2θ 64.2, I 19